Record 1
Li2LaInSe4: computed powder diffraction line list (CuKα), based on DFT lattice parameters and positions (GGA-PBE).
Lines closer than 0.1° are merged.

The 10 most intense peaks (10° ≤ 2θ ≤ 80°), by intensity:
| 2theta | I_rel |
| --- | --- |
| 30.8 | 100 |
| 44.4 | 69 |
| 31.2 | 48 |
| 13.0 | 35 |
| 13.5 | 24 |
| 56.1 | 20 |
| 42.8 | 19 |
| 53.9 | 19 |
| 25.8 | 18 |
| 25.1 | 18 |

Crystal structure
abc: 8.165 8.165 8.165
angles: 121.33 117.67 90.90
Sites, in units of the cell vectors:
Li 0.000 0.000 0.000
Li 0.500 0.000 0.000
Li 0.500 0.000 0.500
Li 0.500 0.500 0.500
La 0.000 0.500 0.500
La 0.500 0.500 0.000
In 0.000 0.000 0.500
In 0.000 0.500 0.000
Se 0.218 0.238 0.980
Se 0.242 0.762 0.480
Se 0.258 0.246 0.488
Se 0.258 0.769 0.012
Se 0.742 0.231 0.988
Se 0.742 0.754 0.512
Se 0.758 0.238 0.520
Se 0.782 0.762 0.020

=====

Record 2
LiLaTbIn: computed powder diffraction line list (CuKα), based on DFT lattice parameters and positions (GGA-PBE).
Lines closer than 0.1° are merged.

The 10 most intense peaks (10° ≤ 2θ ≤ 80°), by intensity:
| 2theta | I_rel |
| --- | --- |
| 33.0 | 100 |
| 58.9 | 37 |
| 23.2 | 21 |
| 47.4 | 18 |
| 20.0 | 17 |
| 78.9 | 16 |
| 69.2 | 11 |
| 38.9 | 10 |
| 53.4 | 9 |
| 40.7 | 6 |

Crystal structure
abc: 5.428 5.428 5.428
angles: 60.00 60.00 60.00
Sites, in units of the cell vectors:
Li 0.000 0.000 0.000
La 0.250 0.250 0.250
Tb 0.750 0.750 0.750
In 0.500 0.500 0.500

=====

Record 3
La2MgIn12: computed powder diffraction line list (CuKα), based on DFT lattice parameters and positions (GGA-PBE).
Lines closer than 0.1° are merged.

The 10 most intense peaks (10° ≤ 2θ ≤ 80°), by intensity:
| 2theta | I_rel |
| --- | --- |
| 27.5 | 100 |
| 36.2 | 65 |
| 40.9 | 41 |
| 36.4 | 37 |
| 27.6 | 31 |
| 36.7 | 26 |
| 32.6 | 22 |
| 46.1 | 21 |
| 33.0 | 20 |
| 35.5 | 19 |

Crystal structure
abc: 7.028 7.028 17.040
angles: 90.00 90.00 90.00
Sites, in units of the cell vectors:
La 0.250 0.750 0.241
La 0.250 0.750 0.759
La 0.750 0.250 0.241
La 0.750 0.250 0.759
Mg 0.250 0.750 0.000
Mg 0.750 0.250 0.000
In 0.001 0.501 0.091
In 0.001 0.999 0.909
In 0.087 0.587 0.571
In 0.087 0.913 0.429
In 0.250 0.250 0.186
In 0.250 0.250 0.347
In 0.250 0.250 0.653
In 0.250 0.250 0.814
In 0.413 0.587 0.429
In 0.413 0.913 0.571
In 0.499 0.501 0.909
In 0.499 0.999 0.091
In 0.501 0.001 0.909
In 0.501 0.499 0.091
In 0.587 0.087 0.429
In 0.587 0.413 0.571
In 0.750 0.750 0.186
In 0.750 0.750 0.347
In 0.750 0.750 0.653
In 0.750 0.750 0.814
In 0.913 0.087 0.571
In 0.913 0.413 0.429
In 0.999 0.001 0.091
In 0.999 0.499 0.909

=====

Record 4
La9MgIn2: computed powder diffraction line list (CuKα), based on DFT lattice parameters and positions (GGA-PBE).
Lines closer than 0.1° are merged.

The 10 most intense peaks (10° ≤ 2θ ≤ 80°), by intensity:
| 2theta | I_rel |
| --- | --- |
| 30.4 | 100 |
| 50.8 | 36 |
| 35.3 | 34 |
| 60.3 | 28 |
| 35.4 | 17 |
| 60.5 | 14 |
| 63.4 | 12 |
| 74.6 | 4 |
| 17.4 | 3 |
| 24.8 | 3 |

Crystal structure
abc: 5.090 5.090 15.226
angles: 90.00 90.00 90.00
Sites, in units of the cell vectors:
La 0.000 0.000 0.000
La 0.000 0.000 0.333
La 0.000 0.000 0.667
La 0.000 0.500 0.169
La 0.000 0.500 0.500
La 0.000 0.500 0.831
La 0.500 0.000 0.169
La 0.500 0.000 0.500
La 0.500 0.000 0.831
Mg 0.500 0.500 0.000
In 0.500 0.500 0.333
In 0.500 0.500 0.667